# PrNd2Dy4Sc
Simulated X-ray powder pattern, Cu Ka. Input: the GGA-PBE geometry in Alexandria.
Kinematic intensities with the Lorentz-polarization factor, no thermal factor.

Atomic structure:
Unit cell a=9.457 b=9.457 c=9.457 alpha=137.98 beta=102.94 gamma=91.90
Fractional positions:
Pr1 0.000 0.000 0.000
Pr2 0.500 0.000 0.500
Nd1 0.000 0.500 0.500
Nd2 0.500 0.000 0.000
Nd3 0.500 0.500 0.000
Nd4 0.500 0.500 0.500
Dy1 0.234 0.250 0.984
Dy2 0.234 0.750 0.484
Dy3 0.235 0.235 0.500
Dy4 0.235 0.735 0.000
Dy5 0.765 0.265 0.000
Dy6 0.765 0.765 0.500
Dy7 0.766 0.250 0.516
Dy8 0.766 0.750 0.016
Sc1 0.000 0.000 0.500
Sc2 0.000 0.500 0.000

Most intense lines, 2θ = 10–90°, by angle:
2θ (°), I_rel
27.1, 44
30.4, 100
41.2, 84
54.0, 12
54.1, 8
61.4, 16
61.5, 9
63.3, 8
65.0, 7
65.0, 13
70.2, 11
89.4, 7